# 1
Starting from a crystal structure in Alexandria, relaxed with PBE, the X-ray powder pattern of Ba3Os2O8 was simulated for Cu Ka.

Main lines, in order of rising 2θ (15 to 90 degrees two-theta):
- 24.1°, I = 20, (1 0 4)
- 27.5°, I = 36, (0 1 5)
- 28.6°, I = 100, (1 1 0)
- 40.0°, I = 36, (0 0 9)
- 49.9°, I = 55, (1 1 9)
- 50.6°, I = 21, (3 0 0)
- 66.4°, I = 23, (3 0 9)
- 73.8°, I = 19, (2 2 9)

Structural model:
Cell: 6.2462 6.2462 20.2866 Å, 90.00 90.00 120.00°
Space group R-3m (No. 166, hexagonal axes)
Asymmetric unit:
Ba: 0.0000 0.0000 0.0000 (multiplicity 3)
Ba: 0.0000 0.0000 0.2171 (multiplicity 6)
Os: 0.0000 0.0000 0.4398 (multiplicity 6)
O: 0.0000 0.0000 0.3399 (multiplicity 6)
O: 0.0080 0.5040 0.7722 (multiplicity 18)

=====

# 2
Starting from a crystal structure in Alexandria, relaxed with PBE, the X-ray powder pattern of CaDyHf was simulated for Cu Ka.

Main lines, in order of rising 2θ (15 to 90 degrees two-theta):
- 30.1°, I = 98, (0 1 2)
- 32.9°, I = 53, (0 1 8)
- 34.5°, I = 70, (1 0 10)
- 35.3°, I = 100, (0 1 11)
- 35.6°, I = 36, (0 0 21)
- 37.3°, I = 88, (1 0 13)
- 53.1°, I = 52, (1 1 0)
- 65.5°, I = 37, (1 1 21)

Structural model:
Cell: 3.4514 3.4514 52.9746 Å, 90.00 90.00 120.00°
Space group R-3m (No. 166, hexagonal axes)
Asymmetric unit:
Ca: 0.0000 0.0000 0.1970 (multiplicity 6)
Dy: 0.0000 0.0000 0.2622 (multiplicity 6)
Hf: 0.0000 0.0000 0.3560 (multiplicity 6)

=====

# 3
Starting from a crystal structure in Alexandria, relaxed with PBE, the X-ray powder pattern of Sm3Dy3In2 was simulated for Cu Ka.

Main lines, in order of rising 2θ (15 to 90 degrees two-theta):
- 31.7°, I = 100, (1 1 2)
- 36.6°, I = 17, (0 0 4)
- 36.8°, I = 17, (0 2 0)
- 36.9°, I = 17, (2 0 0)
- 52.9°, I = 24, (2 0 4)
- 62.9°, I = 14, (1 1 6)
- 63.1°, I = 14, (1 3 2)
- 63.2°, I = 14, (3 1 2)

Structural model:
Cell: 4.873 4.887 9.817 Å, 90.00 90.00 90.00°
Space group Pmmm (No. 47)
Asymmetric unit:
Sm: 0.000 0.000 0.000 (multiplicity 1)
Sm: 0.000 0.000 0.500 (multiplicity 1)
Sm: 0.500 0.500 0.000 (multiplicity 1)
Dy: 0.500 0.000 0.251 (multiplicity 2)
Dy: 0.500 0.500 0.500 (multiplicity 1)
In: 0.000 0.500 0.252 (multiplicity 2)